This entry pairs a crystal structure of Ac4PmTl2 with its simulated powder diffractogram. Radiation: copper Kα. Structure: a crystal structure in Alexandria, relaxed with PBE.

Cell and atoms:
```
data_Ac4PmTl2
_chemical_formula_sum 'Ac16 Pm4 Tl8'
_symmetry_space_group_name_H-M 'I m m a'
_symmetry_Int_Tables_number 74
_symmetry_space_group_name_Hall '-I 2b 2'
_cell_length_a 7.401
_cell_length_b 11.897
_cell_length_c 12.783
_cell_angle_alpha 90.00
_cell_angle_beta 90.00
_cell_angle_gamma 90.00
loop_
_atom_site_label
_atom_site_type_symbol
_atom_site_fract_x
_atom_site_fract_y
_atom_site_fract_z
_atom_site_occupancy
Ac1 Ac 0.000 0.018 0.171 1
Ac2 Ac 0.246 0.250 0.990 1
Pm1 Pm 0.000 0.250 0.728 1
Tl1 Tl 0.000 0.000 0.500 1
Tl2 Tl 0.250 0.250 0.250 1
```

Largest 10 diffraction maxima, in order of rising 2θ, 2θ from 15° to 90°:
(1 0 3), d = 3.693 Å, 2θ 24.10, I 22.5
(0 0 4), d = 3.198 Å, 2θ 27.90, I 22.7
(2 2 0), d = 3.140 Å, 2θ 28.42, I 100.0
(0 4 0), d = 2.974 Å, 2θ 30.05, I 37.2
(0 2 4), d = 2.817 Å, 2θ 31.77, I 25.5
(0 4 4), d = 2.178 Å, 2θ 41.46, I 15.8
(3 2 3), d = 2.009 Å, 2θ 45.14, I 14.6
(2 2 6), d = 1.763 Å, 2θ 51.85, I 15.3
(2 6 0), d = 1.747 Å, 2θ 52.36, I 15.4
(4 4 0), d = 1.571 Å, 2θ 58.78, I 12.5



This entry pairs a crystal structure of Pm12TlCo6 with its simulated powder diffractogram. Radiation: copper Kα. Structure: a crystal structure in Alexandria, relaxed with PBE.

Cell and atoms:
```
data_Pm12TlCo6
_chemical_formula_sum 'Pm24 Tl2 Co12'
_symmetry_space_group_name_H-M 'I m -3'
_symmetry_Int_Tables_number 204
_symmetry_space_group_name_Hall '-I 2 2 3'
_cell_length_a 9.940
_cell_length_b 9.940
_cell_length_c 9.940
_cell_angle_alpha 90.00
_cell_angle_beta 90.00
_cell_angle_gamma 90.00
loop_
_atom_site_label
_atom_site_type_symbol
_atom_site_fract_x
_atom_site_fract_y
_atom_site_fract_z
_atom_site_occupancy
Pm1 Pm 0.000 0.305 0.193 1
Tl1 Tl 0.000 0.000 0.000 1
Co1 Co 0.000 0.111 0.500 1
```

Largest 10 diffraction maxima, in order of rising 2θ, 2θ from 15° to 90°:
(3 0 1), d = 3.143 Å, 2θ 28.39, I 46.6
(2 2 2), d = 2.869 Å, 2θ 31.17, I 54.6
(3 1 2), d = 2.657 Å, 2θ 33.74, I 100.0
(4 0 0), d = 2.485 Å, 2θ 36.15, I 20.4
(5 0 1), d = 1.949 Å, 2θ 46.59, I 26.9
(5 3 0), d = 1.705 Å, 2θ 53.77, I 35.7
(5 2 3), d = 1.613 Å, 2θ 57.12, I 38.7
(5 3 4), d = 1.406 Å, 2θ 66.52, I 20.7
(8 2 2), d = 1.171 Å, 2θ 82.31, I 17.4
(7 0 5), d = 1.156 Å, 2θ 83.70, I 17.2



This entry pairs a crystal structure of Pu3NpGa8 with its simulated powder diffractogram. Radiation: copper Kα. Structure: a crystal structure in Alexandria, relaxed with PBE.

Cell and atoms:
```
data_Pu3NpGa8
_chemical_formula_sum 'Pu9 Np3 Ga24'
_symmetry_space_group_name_H-M 'R 3 m'
_symmetry_Int_Tables_number 160
_symmetry_space_group_name_Hall 'R 3 -2"'
_cell_length_a 5.5466
_cell_length_b 5.5466
_cell_length_c 26.1054
_cell_angle_alpha 90.00
_cell_angle_beta 90.00
_cell_angle_gamma 120.00
loop_
_atom_site_label
_atom_site_type_symbol
_atom_site_fract_x
_atom_site_fract_y
_atom_site_fract_z
_atom_site_occupancy
Pu1 Pu 0.0000 0.0000 0.0000 1
Pu2 Pu 0.0000 0.0000 0.1172 1
Pu3 Pu 0.0000 0.0000 0.6113 1
Np1 Np 0.0000 0.0000 0.5046 1
Ga1 Ga 0.0000 0.0000 0.3083 1
Ga2 Ga 0.0000 0.0000 0.8088 1
Ga3 Ga 0.9996 0.4998 0.5581 1
Ga4 Ga 0.0008 0.5004 0.0588 1
```

Largest 10 diffraction maxima, in order of rising 2θ, 2θ from 15° to 90°:
(0 1 2), d = 4.508 Å, 2θ 19.69, I 64.2
(1 1 0), d = 2.773 Å, 2θ 32.28, I 100.0
(0 1 8), d = 2.699 Å, 2θ 33.19, I 81.9
(2 0 2), d = 2.362 Å, 2θ 38.10, I 75.0
(1 1 6), d = 2.339 Å, 2θ 38.49, I 85.7
(1 0 10), d = 2.294 Å, 2θ 39.28, I 90.3
(0 2 4), d = 2.254 Å, 2θ 40.00, I 35.4
(1 2 8), d = 1.587 Å, 2θ 58.15, I 34.4
(2 1 10), d = 1.491 Å, 2θ 62.29, I 47.4
(2 2 0), d = 1.387 Å, 2θ 67.55, I 32.1



This entry pairs a crystal structure of LiTl3Cu2F6 with its simulated powder diffractogram. Radiation: copper Kα. Structure: a crystal structure in Alexandria, relaxed with PBE.

Cell and atoms:
```
data_LiTl3Cu2F6
_chemical_formula_sum 'Li1 Tl3 Cu2 F6'
_symmetry_space_group_name_H-M 'P -3 m 1'
_symmetry_Int_Tables_number 164
_symmetry_space_group_name_Hall '-P 3 2"'
_cell_length_a 5.9354
_cell_length_b 5.9354
_cell_length_c 6.0103
_cell_angle_alpha 90.00
_cell_angle_beta 90.00
_cell_angle_gamma 120.00
loop_
_atom_site_label
_atom_site_type_symbol
_atom_site_fract_x
_atom_site_fract_y
_atom_site_fract_z
_atom_site_occupancy
Li1 Li 0.0000 0.0000 0.0000 1
Tl1 Tl 0.0000 0.0000 0.5000 1
Tl2 Tl 0.3333 0.6667 0.1655 1
Cu1 Cu 0.3333 0.6667 0.5998 1
F1 F 0.1776 0.3552 0.8259 1
```

Largest 10 diffraction maxima, in order of rising 2θ, 2θ from 15° to 90°:
(1 0 1), d = 3.906 Å, 2θ 22.76, I 72.0
(1 1 0), d = 2.968 Å, 2θ 30.11, I 100.0
(0 1 2), d = 2.594 Å, 2θ 34.57, I 62.5
(0 2 1), d = 2.363 Å, 2θ 38.08, I 36.9
(2 0 2), d = 1.953 Å, 2θ 46.49, I 41.9
(2 1 1), d = 1.849 Å, 2θ 49.29, I 20.1
(3 0 0), d = 1.713 Å, 2θ 53.48, I 20.4
(1 1 3), d = 1.660 Å, 2θ 55.33, I 20.4
(1 2 2), d = 1.632 Å, 2θ 56.39, I 31.9
(2 2 0), d = 1.484 Å, 2θ 62.60, I 17.6